Record 1
For LaNiH6Pt, a crystal structure in Alexandria, relaxed with GGA-PBE gives the simulated X-ray powder pattern in this record (CuKα).

Cell and atoms:
Cell lengths 4.6843, 4.6843, 4.3667 Å; angles 90.00, 90.00, 120.00 degrees
Positions (direct):
La 0.0000 0.0000 0.0000
Ni 0.6667 0.3333 0.5000
H 0.5094 0.0188 0.2526
H 0.5094 0.0188 0.7474
H 0.5094 0.4906 0.2526
H 0.5094 0.4906 0.7474
H 0.9812 0.4906 0.2526
H 0.9812 0.4906 0.7474
Pt 0.3333 0.6667 0.5000

Most intense lines, 2θ from 5° to 70°, low angle first:
d 4.367, I = 8
d 4.057, I = 15
d 2.972, I = 100
d 2.342, I = 48
d 2.183, I = 13
d 1.840, I = 25
d 1.597, I = 30
d 1.447, I = 23
d 1.370, I = 10
d 1.352, I = 8

***

Record 2
For La2NiH6Pt, a crystal structure in Alexandria, relaxed with GGA-PBE gives the simulated X-ray powder pattern in this record (CuKα).

Cell and atoms:
Cell lengths 5.5357, 5.5357, 5.5357 Å; angles 125.34, 125.34, 80.98 degrees
Positions (direct):
La 0.2500 0.7500 0.5000
La 0.7500 0.2500 0.5000
Ni 0.0000 0.0000 0.0000
H 0.1945 0.1945 0.0000
H 0.2480 0.2480 0.4959
H 0.2480 0.7520 0.0000
H 0.7520 0.2480 0.0000
H 0.7520 0.7520 0.5041
H 0.8055 0.8055 0.0000
Pt 0.5000 0.5000 0.0000

Most intense lines, 2θ from 5° to 70°, low angle first:
d 4.352, I = 17
d 2.734, I = 100
d 2.542, I = 41
d 2.457, I = 4
d 2.195, I = 6
d 2.105, I = 12
d 1.797, I = 15
d 1.621, I = 21
d 1.502, I = 32
d 1.367, I = 12

***

Record 3
For La2NiH12Rh3, a crystal structure in Alexandria, relaxed with GGA-PBE gives the simulated X-ray powder pattern in this record (CuKα).

Cell and atoms:
Cell lengths 6.0122, 6.0122, 6.0122 Å; angles 62.74, 62.74, 62.74 degrees
Positions (direct):
La 0.1308 0.1308 0.1308
La 0.8692 0.8692 0.8692
Ni 0.5000 0.5000 0.5000
H 0.1582 0.1582 0.5765
H 0.1582 0.5765 0.1582
H 0.1780 0.5859 0.5859
H 0.4141 0.4141 0.8220
H 0.4141 0.8220 0.4141
H 0.4235 0.8418 0.8418
H 0.5765 0.1582 0.1582
H 0.5859 0.1780 0.5859
H 0.5859 0.5859 0.1780
H 0.8220 0.4141 0.4141
H 0.8418 0.4235 0.8418
H 0.8418 0.8418 0.4235
Rh 0.0000 0.5000 0.5000
Rh 0.5000 0.0000 0.5000
Rh 0.5000 0.5000 0.0000

Most intense lines, 2θ from 5° to 70°, low angle first:
d 3.130, I = 28
d 3.001, I = 45
d 2.664, I = 68
d 2.622, I = 100
d 2.545, I = 33
d 2.537, I = 41
d 1.781, I = 20
d 1.691, I = 26
d 1.565, I = 30
d 1.500, I = 25

***

Record 4
For LaNiH6Ru, a crystal structure in Alexandria, relaxed with GGA-PBE gives the simulated X-ray powder pattern in this record (CuKα).

Cell and atoms:
Cell lengths 4.6380, 4.6380, 4.4300 Å; angles 90.00, 90.00, 120.00 degrees
Positions (direct):
La 0.0000 0.0000 0.0000
Ni 0.3333 0.6667 0.5000
H 0.0004 0.5002 0.2515
H 0.0004 0.5002 0.7485
H 0.4998 0.9996 0.2515
H 0.4998 0.9996 0.7485
H 0.4998 0.5002 0.2515
H 0.4998 0.5002 0.7485
Ru 0.6667 0.3333 0.5000

Most intense lines, 2θ from 5° to 70°, low angle first:
d 4.017, I = 7
d 2.976, I = 100
d 2.319, I = 46
d 2.215, I = 13
d 2.008, I = 2
d 1.940, I = 2
d 1.829, I = 24
d 1.602, I = 29
d 1.436, I = 21
d 1.386, I = 9